SbCl3F6: calculated powder X-ray diffraction pattern (Cu Kα, 1.54184 Å), based on the GGA-PBE geometry in Alexandria.
Intensities are scaled so that the largest is 100.

Crystal structure
a b c (Å): 6.420 6.420 5.610
angles (deg): 93.66 93.66 62.39
Sites, in units of the cell vectors:
Sb (0.000, 0.000, 0.000)
Cl (0.329, 0.329, 0.648)
Cl (0.500, 0.500, 0.500)
Cl (0.671, 0.671, 0.352)
F (0.105, 0.105, 0.289)
F (0.106, 0.695, 0.130)
F (0.305, 0.894, 0.870)
F (0.695, 0.106, 0.130)
F (0.894, 0.305, 0.870)
F (0.895, 0.895, 0.711)

Peak list (6 most intense, 2θ from 10° to 90°, by angle)
two_theta  Rel. int.
15.59  45
16.19  53
21.85  74
22.73  100
26.81  27
34.85  33